# 1
For Tm3Cd2C, the PBE geometry in Alexandria gives the simulated powder X-ray diffraction pattern in this record (Cu Kα).

The 10 most intense peaks (2θ = 10–80°), in order of rising 2θ:
2θ 32.14, I = 100, hkl 1 1 1
2θ 33.93, I = 92, hkl 1 5 0
2θ 34.74, I = 55, hkl 0 4 1
2θ 36.18, I = 53, hkl 2 0 0
2θ 43.60, I = 17, hkl 0 6 1
2θ 51.04, I = 37, hkl 2 4 1
2θ 62.56, I = 15, hkl 3 1 1
2θ 62.86, I = 21, hkl 1 9 1
2θ 63.65, I = 15, hkl 3 5 0
2θ 64.58, I = 28, hkl 1 5 2

Cell and atoms:
```
data_Tm3Cd2C
_chemical_formula_sum 'Tm6 Cd4 C2'
_symmetry_space_group_name_H-M 'C m m m'
_symmetry_Int_Tables_number 65
_symmetry_space_group_name_Hall '-C 2 2'
_cell_length_a 4.964
_cell_length_b 15.603
_cell_length_c 3.446
_cell_angle_alpha 90.00
_cell_angle_beta 90.00
_cell_angle_gamma 90.00
loop_
_atom_site_label
_atom_site_type_symbol
_atom_site_fract_x
_atom_site_fract_y
_atom_site_fract_z
Tm1 Tm 0.000 0.000 0.000
Tm2 Tm 0.000 0.390 0.500
Cd1 Cd 0.000 0.201 0.000
C1 C 0.000 0.500 0.000
```

# 2
For ScCuPd4, the PBE geometry in Alexandria gives the simulated powder X-ray diffraction pattern in this record (Cu Kα).

The 10 most intense peaks (2θ = 10–80°), in order of rising 2θ:
2θ 32.25, I = 8, hkl 1 1 1
2θ 39.52, I = 100, hkl 1 3 1
2θ 44.60, I = 18, hkl 2 0 0
2θ 44.91, I = 17, hkl 0 0 2
2θ 48.27, I = 13, hkl 0 6 0
2θ 65.15, I = 11, hkl 2 0 2
2θ 67.82, I = 9, hkl 2 6 0
2θ 68.05, I = 9, hkl 0 6 2
2θ 78.73, I = 12, hkl 3 3 1
2θ 79.17, I = 12, hkl 1 3 3

Cell and atoms:
```
data_ScCuPd4
_chemical_formula_sum 'Sc2 Cu2 Pd8'
_symmetry_space_group_name_H-M 'C m m m'
_symmetry_Int_Tables_number 65
_symmetry_space_group_name_Hall '-C 2 2'
_cell_length_a 4.063
_cell_length_b 11.312
_cell_length_c 4.037
_cell_angle_alpha 90.00
_cell_angle_beta 90.00
_cell_angle_gamma 90.00
loop_
_atom_site_label
_atom_site_type_symbol
_atom_site_fract_x
_atom_site_fract_y
_atom_site_fract_z
Sc1 Sc 0.000 0.000 0.000
Cu1 Cu 0.000 0.500 0.500
Pd1 Pd 0.000 0.162 0.500
Pd2 Pd 0.000 0.340 0.000
```

Q: Number 2 is which compound?
A: ScCuPd4

Q: What is the formula in the first record?
A: Tm3Cd2C